[1]
Diffraction record for Rb2TlHg12. The powder diffractogram is calculated, not measured: it uses a structure optimized by DFT (PBE) and Cu Kα (weighted mean of Kα1 and Kα2).
Peak positions follow from Bragg's law for the DFT cell and can differ from measured ones.

Peak list (10 most intense, 10 to 90 degrees two-theta, sorted by position)
2theta	d/Å	Rel. int.
19.67	4.513	65
25.44	3.501	47
26.35	3.383	69
30.97	2.887	72
34.04	2.633	80
35.12	2.555	100
37.16	2.419	46
37.51	2.398	83
62.32	1.490	40
64.58	1.443	46

Atomic structure:
```
data_Rb2TlHg12
_chemical_formula_sum 'Rb4 Tl2 Hg24'
_space_group_name_H-M_alt 'P 1'
_space_group_IT_number 1
_cell_length_a 7.228
_cell_length_b 7.228
_cell_length_c 19.227
_cell_angle_alpha 90.00
_cell_angle_beta 90.00
_cell_angle_gamma 90.00
loop_
_space_group_symop_operation_xyz
'x,y,z'
loop_
_atom_site_label
_atom_site_type_symbol
_atom_site_fract_x
_atom_site_fract_y
_atom_site_fract_z
_atom_site_occupancy
Rb1 Rb 0.250 0.750 0.244 1
Rb2 Rb 0.250 0.750 0.756 1
Rb3 Rb 0.750 0.250 0.244 1
Rb4 Rb 0.750 0.250 0.756 1
Tl1 Tl 0.250 0.750 0.500 1
Tl2 Tl 0.750 0.250 0.500 1
Hg1 Hg 0.000 0.000 0.402 1
Hg2 Hg 0.000 0.000 0.598 1
Hg3 Hg 0.000 0.500 0.402 1
Hg4 Hg 0.000 0.500 0.598 1
Hg5 Hg 0.093 0.593 0.064 1
Hg6 Hg 0.093 0.907 0.936 1
Hg7 Hg 0.250 0.250 0.145 1
Hg8 Hg 0.250 0.250 0.309 1
Hg9 Hg 0.250 0.250 0.691 1
Hg10 Hg 0.250 0.250 0.855 1
Hg11 Hg 0.407 0.593 0.936 1
Hg12 Hg 0.407 0.907 0.064 1
Hg13 Hg 0.500 0.000 0.402 1
Hg14 Hg 0.500 0.000 0.598 1
Hg15 Hg 0.500 0.500 0.402 1
Hg16 Hg 0.500 0.500 0.598 1
Hg17 Hg 0.593 0.093 0.936 1
Hg18 Hg 0.593 0.407 0.064 1
Hg19 Hg 0.750 0.750 0.145 1
Hg20 Hg 0.750 0.750 0.309 1
Hg21 Hg 0.750 0.750 0.691 1
Hg22 Hg 0.750 0.750 0.855 1
Hg23 Hg 0.907 0.093 0.064 1
Hg24 Hg 0.907 0.407 0.936 1
```

[2]
Diffraction record for Rb6TlHg12. The powder diffractogram is calculated, not measured: it uses a structure optimized by DFT (PBE) and Cu Kα (weighted mean of Kα1 and Kα2).
Peak positions follow from Bragg's law for the DFT cell and can differ from measured ones.

Peak list (10 most intense, 10 to 90 degrees two-theta, sorted by position)
2theta	d/Å	Rel. int.
15.47	5.729	100
24.10	3.693	50
26.55	3.358	39
28.62	3.119	28
31.87	2.808	25
32.35	2.768	70
32.73	2.737	82
33.65	2.663	24
39.03	2.308	30
53.42	1.715	28

Atomic structure:
```
data_Rb6TlHg12
_chemical_formula_sum 'Rb6 Tl1 Hg12'
_space_group_name_H-M_alt 'P 1'
_space_group_IT_number 1
_cell_length_a 9.398
_cell_length_b 9.398
_cell_length_c 9.398
_cell_angle_alpha 100.78
_cell_angle_beta 100.78
_cell_angle_gamma 100.78
loop_
_space_group_symop_operation_xyz
'x,y,z'
loop_
_atom_site_label
_atom_site_type_symbol
_atom_site_fract_x
_atom_site_fract_y
_atom_site_fract_z
_atom_site_occupancy
Rb1 Rb 0.063 0.252 0.444 1
Rb2 Rb 0.252 0.444 0.063 1
Rb3 Rb 0.444 0.063 0.252 1
Rb4 Rb 0.556 0.937 0.748 1
Rb5 Rb 0.748 0.556 0.937 1
Rb6 Rb 0.937 0.748 0.556 1
Tl1 Tl 0.000 0.000 0.000 1
Hg1 Hg 0.080 0.780 0.215 1
Hg2 Hg 0.215 0.080 0.780 1
Hg3 Hg 0.220 0.785 0.920 1
Hg4 Hg 0.264 0.648 0.440 1
Hg5 Hg 0.352 0.560 0.736 1
Hg6 Hg 0.440 0.264 0.648 1
Hg7 Hg 0.560 0.736 0.352 1
Hg8 Hg 0.648 0.440 0.264 1
Hg9 Hg 0.736 0.352 0.560 1
Hg10 Hg 0.780 0.215 0.080 1
Hg11 Hg 0.785 0.920 0.220 1
Hg12 Hg 0.920 0.220 0.785 1
```

[3]
Diffraction record for RbHgW. The powder diffractogram is calculated, not measured: it uses a structure optimized by DFT (PBE) and Cu Kα (weighted mean of Kα1 and Kα2).
Peak positions follow from Bragg's law for the DFT cell and can differ from measured ones.

Peak list (10 most intense, 10 to 90 degrees two-theta, sorted by position)
2theta	d/Å	Rel. int.
29.04	3.075	100
29.43	3.035	16
33.59	2.668	24
35.66	2.518	17
35.79	2.509	18
35.92	2.500	57
37.21	2.417	16
38.60	2.332	34
42.46	2.129	25
45.09	2.011	21

Atomic structure:
```
data_RbHgW
_chemical_formula_sum 'Rb2 Hg2 W2'
_space_group_name_H-M_alt 'P 1'
_space_group_IT_number 1
_cell_length_a 3.119
_cell_length_b 6.205
_cell_length_c 9.437
_cell_angle_alpha 70.84
_cell_angle_beta 86.06
_cell_angle_gamma 78.05
loop_
_space_group_symop_operation_xyz
'x,y,z'
loop_
_atom_site_label
_atom_site_type_symbol
_atom_site_fract_x
_atom_site_fract_y
_atom_site_fract_z
_atom_site_occupancy
Rb1 Rb 0.005 0.187 0.127 1
Rb2 Rb 0.995 0.813 0.873 1
Hg1 Hg 0.499 0.407 0.687 1
Hg2 Hg 0.501 0.593 0.313 1
W1 W 0.193 0.156 0.500 1
W2 W 0.807 0.844 0.500 1
```

[4]
Diffraction record for RbZnHg2. The powder diffractogram is calculated, not measured: it uses a structure optimized by DFT (PBE) and Cu Kα (weighted mean of Kα1 and Kα2).
Peak positions follow from Bragg's law for the DFT cell and can differ from measured ones.

Peak list (10 most intense, 10 to 90 degrees two-theta, sorted by position)
2theta	d/Å	Rel. int.
13.97	6.341	100
23.07	3.855	28
28.28	3.155	54
31.67	2.825	83
36.92	2.435	100
39.45	2.284	27
39.65	2.273	50
47.09	1.930	37
49.42	1.844	24
52.79	1.734	36

Atomic structure:
```
data_RbZnHg2
_chemical_formula_sum 'Rb3 Zn3 Hg6'
_space_group_name_H-M_alt 'P 1'
_space_group_IT_number 1
_cell_length_a 4.870
_cell_length_b 4.870
_cell_length_c 19.022
_cell_angle_alpha 90.00
_cell_angle_beta 90.00
_cell_angle_gamma 120.00
loop_
_space_group_symop_operation_xyz
'x,y,z'
loop_
_atom_site_label
_atom_site_type_symbol
_atom_site_fract_x
_atom_site_fract_y
_atom_site_fract_z
_atom_site_occupancy
Rb1 Rb 0.000 0.000 0.000 1
Rb2 Rb 0.333 0.667 0.667 1
Rb3 Rb 0.667 0.333 0.333 1
Zn1 Zn 0.000 0.000 0.500 1
Zn2 Zn 0.333 0.667 0.167 1
Zn3 Zn 0.667 0.333 0.833 1
Hg1 Hg 0.000 0.000 0.201 1
Hg2 Hg 0.000 0.000 0.799 1
Hg3 Hg 0.333 0.667 0.466 1
Hg4 Hg 0.333 0.667 0.867 1
Hg5 Hg 0.667 0.333 0.133 1
Hg6 Hg 0.667 0.333 0.534 1
```

[5]
Diffraction record for Rb4ZnHg4. The powder diffractogram is calculated, not measured: it uses a structure optimized by DFT (PBE) and Cu Kα (weighted mean of Kα1 and Kα2).
Peak positions follow from Bragg's law for the DFT cell and can differ from measured ones.

Peak list (10 most intense, 10 to 90 degrees two-theta, sorted by position)
2theta	d/Å	Rel. int.
20.60	4.311	52
23.71	3.753	49
23.89	3.724	100
27.43	3.252	25
29.22	3.056	28
32.29	2.773	22
33.91	2.643	90
34.04	2.634	46
41.91	2.156	32
53.94	1.700	22

Atomic structure:
```
data_Rb4ZnHg4
_chemical_formula_sum 'Rb4 Zn1 Hg4'
_space_group_name_H-M_alt 'P 1'
_space_group_IT_number 1
_cell_length_a 9.169
_cell_length_b 9.169
_cell_length_c 9.169
_cell_angle_alpha 132.07
_cell_angle_beta 132.07
_cell_angle_gamma 70.12
loop_
_space_group_symop_operation_xyz
'x,y,z'
loop_
_atom_site_label
_atom_site_type_symbol
_atom_site_fract_x
_atom_site_fract_y
_atom_site_fract_z
_atom_site_occupancy
Rb1 Rb 0.075 0.643 0.000 1
Rb2 Rb 0.357 0.357 0.432 1
Rb3 Rb 0.643 0.075 0.000 1
Rb4 Rb 0.925 0.925 0.568 1
Zn1 Zn 0.500 0.500 0.000 1
Hg1 Hg 0.174 0.174 0.561 1
Hg2 Hg 0.387 0.826 0.000 1
Hg3 Hg 0.613 0.613 0.439 1
Hg4 Hg 0.826 0.387 0.000 1
```

[6]
Diffraction record for Re7Hg. The powder diffractogram is calculated, not measured: it uses a structure optimized by DFT (PBE) and Cu Kα (weighted mean of Kα1 and Kα2).
Peak positions follow from Bragg's law for the DFT cell and can differ from measured ones.

Peak list (5 most intense, 10 to 90 degrees two-theta, sorted by position)
2theta	d/Å	Rel. int.
39.49	2.282	100
45.92	1.976	49
66.97	1.397	32
80.62	1.192	39
85.02	1.141	12

Atomic structure:
```
data_Re7Hg
_chemical_formula_sum 'Re7 Hg1'
_space_group_name_H-M_alt 'P 1'
_space_group_IT_number 1
_cell_length_a 5.589
_cell_length_b 5.589
_cell_length_c 5.589
_cell_angle_alpha 60.00
_cell_angle_beta 60.00
_cell_angle_gamma 60.00
loop_
_space_group_symop_operation_xyz
'x,y,z'
loop_
_atom_site_label
_atom_site_type_symbol
_atom_site_fract_x
_atom_site_fract_y
_atom_site_fract_z
_atom_site_occupancy
Re1 Re 0.000 0.000 0.000 1
Re2 Re 0.000 0.000 0.500 1
Re3 Re 0.000 0.500 0.000 1
Re4 Re 0.000 0.500 0.500 1
Re5 Re 0.500 0.000 0.000 1
Re6 Re 0.500 0.000 0.500 1
Re7 Re 0.500 0.500 0.000 1
Hg1 Hg 0.500 0.500 0.500 1
```

[7]
Diffraction record for Re2Hg3. The powder diffractogram is calculated, not measured: it uses a structure optimized by DFT (PBE) and Cu Kα (weighted mean of Kα1 and Kα2).
Peak positions follow from Bragg's law for the DFT cell and can differ from measured ones.

Peak list (10 most intense, 10 to 90 degrees two-theta, sorted by position)
2theta	d/Å	Rel. int.
22.07	4.027	15
27.19	3.280	24
31.66	2.826	25
38.73	2.325	100
38.93	2.313	61
50.85	1.795	41
56.08	1.640	22
70.11	1.342	18
70.24	1.340	22
70.64	1.333	18

Atomic structure:
```
data_Re2Hg3
_chemical_formula_sum 'Re2 Hg3'
_space_group_name_H-M_alt 'P 1'
_space_group_IT_number 1
_cell_length_a 4.650
_cell_length_b 4.650
_cell_length_c 5.653
_cell_angle_alpha 90.00
_cell_angle_beta 90.00
_cell_angle_gamma 120.00
loop_
_space_group_symop_operation_xyz
'x,y,z'
loop_
_atom_site_label
_atom_site_type_symbol
_atom_site_fract_x
_atom_site_fract_y
_atom_site_fract_z
_atom_site_occupancy
Re1 Re 0.333 0.667 0.432 1
Re2 Re 0.667 0.333 0.568 1
Hg1 Hg 0.000 0.000 0.500 1
Hg2 Hg 0.333 0.667 0.917 1
Hg3 Hg 0.667 0.333 0.083 1
```

[8]
Diffraction record for Re2Hg. The powder diffractogram is calculated, not measured: it uses a structure optimized by DFT (PBE) and Cu Kα (weighted mean of Kα1 and Kα2).
Peak positions follow from Bragg's law for the DFT cell and can differ from measured ones.

Peak list (10 most intense, 10 to 90 degrees two-theta, sorted by position)
2theta	d/Å	Rel. int.
35.68	2.517	31
38.74	2.324	57
40.18	2.244	41
41.12	2.195	100
54.81	1.675	19
60.64	1.527	12
73.67	1.286	20
75.27	1.263	13
79.03	1.212	15
79.96	1.200	11

Atomic structure:
```
data_Re2Hg
_chemical_formula_sum 'Re8 Hg4'
_space_group_name_H-M_alt 'P 1'
_space_group_IT_number 1
_cell_length_a 2.840
_cell_length_b 16.302
_cell_length_c 4.489
_cell_angle_alpha 90.00
_cell_angle_beta 90.00
_cell_angle_gamma 90.00
loop_
_space_group_symop_operation_xyz
'x,y,z'
loop_
_atom_site_label
_atom_site_type_symbol
_atom_site_fract_x
_atom_site_fract_y
_atom_site_fract_z
_atom_site_occupancy
Re1 Re 0.000 0.045 0.250 1
Re2 Re 0.000 0.406 0.250 1
Re3 Re 0.000 0.594 0.750 1
Re4 Re 0.000 0.955 0.750 1
Re5 Re 0.500 0.094 0.750 1
Re6 Re 0.500 0.455 0.750 1
Re7 Re 0.500 0.545 0.250 1
Re8 Re 0.500 0.906 0.250 1
Hg1 Hg 0.000 0.291 0.750 1
Hg2 Hg 0.000 0.709 0.250 1
Hg3 Hg 0.500 0.209 0.250 1
Hg4 Hg 0.500 0.791 0.750 1
```

[9]
Diffraction record for ReHgRu. The powder diffractogram is calculated, not measured: it uses a structure optimized by DFT (PBE) and Cu Kα (weighted mean of Kα1 and Kα2).
Peak positions follow from Bragg's law for the DFT cell and can differ from measured ones.

Peak list (10 most intense, 10 to 90 degrees two-theta, sorted by position)
2theta	d/Å	Rel. int.
29.56	3.022	9
32.02	2.795	10
38.49	2.339	100
44.60	2.032	35
45.00	2.014	13
62.79	1.480	9
64.91	1.436	12
65.22	1.430	17
78.07	1.224	26
82.47	1.170	9

Atomic structure:
```
data_ReHgRu
_chemical_formula_sum 'Re2 Hg2 Ru2'
_space_group_name_H-M_alt 'P 1'
_space_group_IT_number 1
_cell_length_a 2.873
_cell_length_b 2.873
_cell_length_c 12.087
_cell_angle_alpha 90.00
_cell_angle_beta 90.00
_cell_angle_gamma 90.00
loop_
_space_group_symop_operation_xyz
'x,y,z'
loop_
_atom_site_label
_atom_site_type_symbol
_atom_site_fract_x
_atom_site_fract_y
_atom_site_fract_z
_atom_site_occupancy
Re1 Re 0.000 0.000 0.000 1
Re2 Re 0.500 0.500 0.500 1
Hg1 Hg 0.000 0.000 0.686 1
Hg2 Hg 0.500 0.500 0.186 1
Ru1 Ru 0.000 0.000 0.370 1
Ru2 Ru 0.500 0.500 0.870 1
```

[10]
Diffraction record for ReHg2Ru. The powder diffractogram is calculated, not measured: it uses a structure optimized by DFT (PBE) and Cu Kα (weighted mean of Kα1 and Kα2).
Peak positions follow from Bragg's law for the DFT cell and can differ from measured ones.

Peak list (10 most intense, 10 to 90 degrees two-theta, sorted by position)
2theta	d/Å	Rel. int.
26.08	3.416	22
35.02	2.562	24
37.91	2.373	100
38.95	2.312	12
43.23	2.093	58
53.37	1.717	15
63.53	1.464	16
64.71	1.441	22
75.75	1.256	16
77.51	1.231	13

Atomic structure:
```
data_ReHg2Ru
_chemical_formula_sum 'Re3 Hg6 Ru3'
_space_group_name_H-M_alt 'P 1'
_space_group_IT_number 1
_cell_length_a 2.881
_cell_length_b 2.881
_cell_length_c 30.748
_cell_angle_alpha 90.00
_cell_angle_beta 90.00
_cell_angle_gamma 120.00
loop_
_space_group_symop_operation_xyz
'x,y,z'
loop_
_atom_site_label
_atom_site_type_symbol
_atom_site_fract_x
_atom_site_fract_y
_atom_site_fract_z
_atom_site_occupancy
Re1 Re 0.000 0.000 0.000 1
Re2 Re 0.333 0.667 0.667 1
Re3 Re 0.667 0.333 0.333 1
Hg1 Hg 0.000 0.000 0.248 1
Hg2 Hg 0.000 0.000 0.479 1
Hg3 Hg 0.333 0.667 0.146 1
Hg4 Hg 0.333 0.667 0.915 1
Hg5 Hg 0.667 0.333 0.582 1
Hg6 Hg 0.667 0.333 0.813 1
Ru1 Ru 0.000 0.000 0.730 1
Ru2 Ru 0.333 0.667 0.397 1
Ru3 Ru 0.667 0.333 0.064 1
```

[11]
Diffraction record for ScRe2Hg. The powder diffractogram is calculated, not measured: it uses a structure optimized by DFT (PBE) and Cu Kα (weighted mean of Kα1 and Kα2).
Peak positions follow from Bragg's law for the DFT cell and can differ from measured ones.

Peak list (10 most intense, 10 to 90 degrees two-theta, sorted by position)
2theta	d/Å	Rel. int.
11.50	7.693	40
23.12	3.847	10
37.53	2.397	100
41.69	2.166	42
46.16	1.967	11
47.26	1.923	9
60.43	1.532	14
64.82	1.438	14
73.35	1.291	29
80.09	1.198	8

Atomic structure:
```
data_ScRe2Hg
_chemical_formula_sum 'Sc1 Re2 Hg1'
_space_group_name_H-M_alt 'P 1'
_space_group_IT_number 1
_cell_length_a 3.064
_cell_length_b 3.064
_cell_length_c 7.693
_cell_angle_alpha 90.00
_cell_angle_beta 90.00
_cell_angle_gamma 90.00
loop_
_space_group_symop_operation_xyz
'x,y,z'
loop_
_atom_site_label
_atom_site_type_symbol
_atom_site_fract_x
_atom_site_fract_y
_atom_site_fract_z
_atom_site_occupancy
Sc1 Sc 0.000 0.000 0.000 1
Re1 Re 0.000 0.000 0.563 1
Re2 Re 0.500 0.500 0.747 1
Hg1 Hg 0.500 0.500 0.287 1
```